Record 1
For Cs3RbMo2O8, the GGA+U geometry in Alexandria gives the theoretical powder XRD pattern in this record (a wavelength of 1.5418 Å).

Structural model:
Cell: 6.713 6.713 8.657 Å, 90.00 90.00 120.00°
Element x y z (fractional)
Cs 0.000 0.000 0.000
Cs 0.333 0.667 0.676
Cs 0.667 0.333 0.324
Rb 0.000 0.000 0.500
Mo 0.333 0.667 0.214
Mo 0.667 0.333 0.786
O 0.188 0.375 0.286
O 0.188 0.812 0.286
O 0.333 0.667 0.008
O 0.375 0.188 0.714
O 0.625 0.812 0.286
O 0.667 0.333 0.992
O 0.812 0.188 0.714
O 0.812 0.625 0.714

Largest 8 diffraction maxima, by angle, 2θ from 10° to 90°:
- 3.472 Å, 25.66 deg, I = 90, hkl 0 1 2
- 3.357 Å, 26.56 deg, I = 100, hkl 1 1 0
- 2.413 Å, 37.26 deg, I = 44, hkl 2 0 2
- 2.028 Å, 44.68 deg, I = 14, hkl 1 0 4
- 1.959 Å, 46.34 deg, I = 32, hkl 1 2 2
- 1.938 Å, 46.88 deg, I = 20, hkl 3 0 0
- 1.678 Å, 54.69 deg, I = 17, hkl 2 2 0
- 1.511 Å, 61.35 deg, I = 16, hkl 3 1 2

Record 2
For CsRb3Mo6O20, the GGA+U geometry in Alexandria gives the theoretical powder XRD pattern in this record (a wavelength of 1.5418 Å).

Structural model:
Cell: 8.581 8.589 8.861 Å, 62.64 84.72 74.16°
Element x y z (fractional)
Cs 0.000 0.000 0.000
Rb 0.163 0.266 0.362
Rb 0.463 0.204 0.817
Rb 0.626 0.474 0.184
Mo 0.071 0.570 0.889
Mo 0.281 0.682 0.444
Mo 0.344 0.788 0.741
Mo 0.549 0.904 0.291
Mo 0.768 0.538 0.618
Mo 0.857 0.934 0.557
O 0.042 0.862 0.697
O 0.073 0.780 0.393
O 0.141 0.336 0.957
O 0.247 0.635 0.950
O 0.281 0.586 0.685
O 0.294 0.993 0.757
O 0.330 0.482 0.420
O 0.349 0.882 0.499
O 0.370 0.843 0.232
O 0.485 0.138 0.224
O 0.550 0.690 0.801
O 0.583 0.610 0.478
O 0.674 0.886 0.129
O 0.710 0.030 0.659
O 0.719 0.836 0.467
O 0.735 0.357 0.807
O 0.884 0.120 0.368
O 0.906 0.634 0.711
O 0.916 0.436 0.521
O 0.942 0.585 0.049

Largest 8 diffraction maxima, by angle, 2θ from 10° to 90°:
- 7.364 Å, 12.02 deg, I = 44, hkl 0 1 0
- 3.711 Å, 23.98 deg, I = 100, hkl 2 0 -1
- 3.633 Å, 24.51 deg, I = 44, hkl 0 2 2
- 3.497 Å, 25.47 deg, I = 78, hkl 1 0 2
- 3.421 Å, 26.05 deg, I = 63, hkl 2 2 1
- 3.080 Å, 28.99 deg, I = 54, hkl 1 -2 0
- 2.917 Å, 30.65 deg, I = 38, hkl 1 2 -1
- 2.147 Å, 42.09 deg, I = 38, hkl 1 4 2